No. 1
Simulated powder XRD pattern of NaH2C2N3O for a wavelength of 1.5418 Å, from a cell relaxed with PBE.

Peak list (10 most intense, 2θ = 10–90°, by intensity)
| 2θ (°) | d [Å] | I (rel.) | h k l |
| --- | --- | --- | --- |
| 26.33 | 3.385 | 100 | 0 0 2 |
| 31.59 | 2.832 | 51 | 1 1 2 |
| 28.18 | 3.166 | 47 | 1 0 2 |
| 29.51 | 3.027 | 43 | 2 1 1 |
| 37.59 | 2.393 | 41 | 2 1 2 |
| 54.20 | 1.692 | 40 | 0 0 4 |
| 40.29 | 2.238 | 39 | 3 0 2 |
| 17.16 | 5.168 | 35 | 1 1 0 |
| 36.18 | 2.483 | 35 | 3 1 0 |
| 45.30 | 2.002 | 34 | 3 1 2 |

```
data_NaH2C2N3O
_cell_length_a 10.3365
_cell_length_b 10.3365
_cell_length_c 6.7705
_cell_angle_alpha 90.00
_cell_angle_beta 90.00
_cell_angle_gamma 120.00
_space_group_name_H-M_alt 'P -6 2 c'
_space_group_IT_number 190
_space_group_name_Hall 'P -6c -2c'
loop_
_atom_site_label
_atom_site_type_symbol
_atom_site_fract_x
_atom_site_fract_y
_atom_site_fract_z
Na1 Na 0.0000 0.5939 0.0000
H1 H 0.1693 0.8216 0.2500
H2 H 0.2093 0.5127 0.2500
C1 C 0.0640 0.9164 0.7500
C2 C 0.1192 0.3861 0.7500
N1 N 0.0664 0.1536 0.2500
N2 N 0.0799 0.4758 0.7500
N3 N 0.1228 0.8238 0.7500
O1 O 0.1944 0.7384 0.2500
```


No. 2
Simulated powder XRD pattern of NaH4C3N3O4 for a wavelength of 1.5418 Å, from a cell relaxed with PBE.

Peak list (10 most intense, 2θ = 10–90°, by intensity)
| 2θ (°) | d [Å] | I (rel.) | h k l |
| --- | --- | --- | --- |
| 25.69 | 3.468 | 100 | 1 0 1 |
| 13.82 | 6.407 | 18 | 0 1 1 |
| 19.25 | 4.612 | 12 | 0 0 2 |
| 35.49 | 2.529 | 11 | 1 0 -3 |
| 31.11 | 2.875 | 11 | 0 3 1 |
| 27.66 | 3.225 | 10 | 1 1 1 |
| 21.40 | 4.152 | 10 | 0 2 -1 |
| 24.82 | 3.588 | 7 | 1 -1 0 |
| 40.87 | 2.208 | 6 | 0 4 1 |
| 54.01 | 1.698 | 6 | 2 1 2 |

```
data_NaH4C3N3O4
_cell_length_a 3.904
_cell_length_b 9.167
_cell_length_c 9.268
_cell_angle_alpha 91.65
_cell_angle_beta 95.35
_cell_angle_gamma 90.26
_space_group_name_H-M_alt 'P -1'
_space_group_IT_number 2
loop_
_space_group_symop_operation_xyz
'x,y,z'
'-x,-y,-z'
loop_
_atom_site_label
_atom_site_type_symbol
_atom_site_fract_x
_atom_site_fract_y
_atom_site_fract_z
Na1 Na 0.071 0.378 0.347
H1 H 0.052 0.880 0.482
H2 H 0.380 0.049 0.109
H3 H 0.488 0.650 0.886
H4 H 0.490 0.514 0.183
C1 C 0.201 0.990 0.304
C2 C 0.227 0.726 0.337
C3 C 0.408 0.821 0.125
N1 N 0.152 0.868 0.382
N2 N 0.333 0.962 0.175
N3 N 0.356 0.705 0.207
O1 O 0.130 0.115 0.349
O2 O 0.171 0.626 0.420
O3 O 0.455 0.590 0.795
O4 O 0.473 0.191 0.997
```


No. 3
Simulated powder XRD pattern of NaPH5C2SN3O4 for a wavelength of 1.5418 Å, from a cell relaxed with PBE.

Peak list (10 most intense, 2θ = 10–90°, by intensity)
| 2θ (°) | d [Å] | I (rel.) | h k l |
| --- | --- | --- | --- |
| 23.30 | 3.817 | 100 | 1 1 -1 |
| 26.49 | 3.365 | 96 | 1 1 -2 |
| 27.55 | 3.237 | 64 | 1 -2 0 |
| 38.10 | 2.362 | 63 | -1 1 4 |
| 21.45 | 4.143 | 48 | 1 0 -2 |
| 16.89 | 5.249 | 46 | 0 0 2 |
| 19.45 | 4.563 | 45 | -1 1 1 |
| 16.51 | 5.368 | 34 | 0 1 1 |
| 25.45 | 3.500 | 33 | 0 0 3 |
| 15.04 | 5.892 | 26 | 0 1 -1 |

```
data_NaPH5C2SN3O4
_cell_length_a 5.887
_cell_length_b 6.874
_cell_length_c 10.626
_cell_angle_alpha 94.10
_cell_angle_beta 96.64
_cell_angle_gamma 103.80
_space_group_name_H-M_alt 'P -1'
_space_group_IT_number 2
loop_
_space_group_symop_operation_xyz
'x,y,z'
'-x,-y,-z'
loop_
_atom_site_label
_atom_site_type_symbol
_atom_site_fract_x
_atom_site_fract_y
_atom_site_fract_z
Na1 Na 0.037 0.146 0.217
P1 P 0.495 0.266 0.782
H1 H 0.054 0.355 0.481
H2 H 0.347 0.158 0.008
H3 H 0.432 0.923 0.398
H4 H 0.451 0.598 0.824
H5 H 0.466 0.071 0.123
C1 C 0.228 0.489 0.659
C2 C 0.306 0.203 0.530
S1 S 0.181 0.647 0.135
N1 N 0.178 0.342 0.557
N2 N 0.381 0.469 0.760
N3 N 0.471 0.180 0.624
O1 O 0.137 0.636 0.654
O2 O 0.266 0.108 0.421
O3 O 0.325 0.105 0.842
O4 O 0.372 0.169 0.103
```


No. 4
Simulated powder XRD pattern of Na4ZnP4H16C2N2O16 for a wavelength of 1.5418 Å, from a cell relaxed with PBE.

Peak list (10 most intense, 2θ = 10–90°, by intensity)
| 2θ (°) | d [Å] | I (rel.) | h k l |
| --- | --- | --- | --- |
| 14.25 | 6.217 | 100 | 0 1 0 |
| 31.83 | 2.812 | 78 | 1 1 3 |
| 15.66 | 5.659 | 72 | 0 1 -1 |
| 27.24 | 3.273 | 54 | 1 0 3 |
| 35.32 | 2.541 | 52 | 0 2 -3 |
| 21.76 | 4.084 | 52 | -1 1 1 |
| 32.20 | 2.780 | 47 | 1 0 -4 |
| 32.34 | 2.768 | 44 | 2 0 -1 |
| 17.01 | 5.212 | 43 | 1 0 -1 |
| 40.10 | 2.249 | 42 | 0 2 -4 |

```
data_Na4ZnP4H16C2N2O16
_cell_length_a 5.639
_cell_length_b 6.234
_cell_length_c 12.495
_cell_angle_alpha 92.25
_cell_angle_beta 92.40
_cell_angle_gamma 93.86
_space_group_name_H-M_alt 'P -1'
_space_group_IT_number 2
loop_
_space_group_symop_operation_xyz
'x,y,z'
'-x,-y,-z'
loop_
_atom_site_label
_atom_site_type_symbol
_atom_site_fract_x
_atom_site_fract_y
_atom_site_fract_z
Na1 Na 0.027 0.089 0.314
Na2 Na 0.389 0.911 0.887
Zn1 Zn 0.000 0.500 0.500
P1 P 0.136 0.401 0.751
P2 P 0.480 0.702 0.635
H1 H 0.137 0.353 0.097
H2 H 0.150 0.819 0.100
H3 H 0.213 0.315 0.976
H4 H 0.303 0.709 0.371
H5 H 0.311 0.650 0.051
H6 H 0.422 0.261 0.566
H7 H 0.436 0.529 0.220
H8 H 0.494 0.118 0.678
C1 C 0.443 0.451 0.709
N1 N 0.486 0.732 0.359
O1 O 0.001 0.676 0.356
O2 O 0.066 0.615 0.801
O3 O 0.127 0.212 0.828
O4 O 0.244 0.733 0.572
O5 O 0.275 0.356 0.049
O6 O 0.297 0.808 0.060
O7 O 0.307 0.317 0.438
O8 O 0.462 0.119 0.278
```


No. 5
Simulated powder XRD pattern of Nb6HC3N2 for a wavelength of 1.5418 Å, from a cell relaxed with PBE.

Peak list (10 most intense, 2θ = 10–90°, by intensity)
| 2θ (°) | d [Å] | I (rel.) | h k l |
| --- | --- | --- | --- |
| 34.64 | 2.589 | 100 | 1 3 -1 |
| 40.40 | 2.232 | 98 | 1 3 1 |
| 34.72 | 2.583 | 50 | 2 0 0 |
| 40.18 | 2.245 | 49 | 2 0 -2 |
| 34.94 | 2.568 | 48 | 0 0 2 |
| 58.17 | 1.586 | 47 | 0 6 0 |
| 58.44 | 1.579 | 30 | 1 3 -3 |
| 69.43 | 1.354 | 19 | 4 0 -2 |
| 69.74 | 1.348 | 19 | 0 6 2 |
| 73.09 | 1.295 | 15 | 2 6 -2 |

```
data_Nb6HC3N2
_cell_length_a 5.498
_cell_length_b 9.509
_cell_length_c 5.464
_cell_angle_alpha 90.00
_cell_angle_beta 109.98
_cell_angle_gamma 90.00
_space_group_name_H-M_alt 'C 1 2/m 1'
_space_group_IT_number 12
loop_
_space_group_symop_operation_xyz
'x,y,z'
'-x,-y,-z'
'-x,y,-z'
'x,-y,z'
'x+1/2,y+1/2,z'
'-x+1/2,-y+1/2,-z'
'-x+1/2,y+1/2,-z'
'x+1/2,-y+1/2,z'
loop_
_atom_site_label
_atom_site_type_symbol
_atom_site_fract_x
_atom_site_fract_y
_atom_site_fract_z
Nb1 Nb 0.243 0.000 0.262
Nb2 Nb 0.246 0.169 0.740
H1 H 0.000 0.500 0.000
C1 C 0.000 0.000 0.500
C2 C 0.000 0.334 0.500
N1 N 0.000 0.166 0.000
```


No. 6
Simulated powder XRD pattern of Nd4HCN2 for a wavelength of 1.5418 Å, from a cell relaxed with PBE.

Peak list (10 most intense, 2θ = 10–90°, by intensity)
| 2θ (°) | d [Å] | I (rel.) | h k l |
| --- | --- | --- | --- |
| 29.69 | 3.009 | 100 | 1 1 2 |
| 34.41 | 2.606 | 67 | 2 0 0 |
| 49.46 | 1.843 | 47 | 2 2 0 |
| 58.75 | 1.572 | 44 | 3 1 2 |
| 82.82 | 1.165 | 20 | 4 2 0 |
| 80.29 | 1.196 | 18 | 3 3 2 |
| 61.64 | 1.505 | 16 | 2 2 4 |
| 72.55 | 1.303 | 7 | 4 0 0 |
| 46.92 | 1.936 | 1 | 1 0 5 |
| 59.47 | 1.554 | 1 | 2 1 5 |

```
data_Nd4HCN2
_cell_length_a 5.210
_cell_length_b 5.210
_cell_length_c 10.432
_cell_angle_alpha 90.00
_cell_angle_beta 90.00
_cell_angle_gamma 90.00
_space_group_name_H-M_alt 'I 4/m m m'
_space_group_IT_number 139
_space_group_name_Hall '-I 4 2'
loop_
_atom_site_label
_atom_site_type_symbol
_atom_site_fract_x
_atom_site_fract_y
_atom_site_fract_z
Nd1 Nd 0.000 0.000 0.240
Nd2 Nd 0.000 0.500 0.000
H1 H 0.000 0.000 0.500
C1 C 0.000 0.000 0.000
N1 N 0.000 0.500 0.250
```